Entry 1:
For ReC6N9, a cell relaxed with PBE gives the theoretical powder XRD pattern in this record (Cu Ka).

Cell and atoms:
```
data_ReC6N9
_cell_length_a 7.0364
_cell_length_b 13.2603
_cell_length_c 11.4076
_cell_angle_alpha 90.00
_cell_angle_beta 90.00
_cell_angle_gamma 90.00
_space_group_name_H-M_alt 'C m c m'
_space_group_IT_number 63
_space_group_name_Hall '-C 2c 2'
loop_
_atom_site_label
_atom_site_fract_x
_atom_site_fract_y
_atom_site_fract_z
Re1 0.0000 0.2197 0.2500
C1 0.1594 0.1256 0.7500
C2 0.1591 0.3555 0.5914
N1 0.0000 0.0775 0.7500
N2 0.0000 0.3803 0.5430
N3 0.1904 0.3343 0.2500
N4 0.1917 0.1650 0.1330
```

The 10 most intense peaks (2θ from 15° to 90°), by angle:
- 15.5°, I = 57, hkl 0 0 2
- 16.2°, I = 100, hkl 1 1 1
- 20.5°, I = 32, hkl 0 2 2
- 25.0°, I = 46, hkl 1 3 1
- 27.5°, I = 39, hkl 1 1 3
- 28.5°, I = 14, hkl 1 3 2
- 32.8°, I = 15, hkl 2 2 2
- 33.6°, I = 14, hkl 1 3 3
- 44.5°, I = 16, hkl 2 4 3
- 54.6°, I = 13, hkl 4 0 2

Entry 2:
For NiAsS, a cell relaxed with PBE gives the theoretical powder XRD pattern in this record (Cu Ka).

Cell and atoms:
```
data_NiAsS
_cell_length_a 5.6959
_cell_length_b 5.6959
_cell_length_c 5.6959
_cell_angle_alpha 90.00
_cell_angle_beta 90.00
_cell_angle_gamma 90.00
_space_group_name_H-M_alt 'P 21 3'
_space_group_IT_number 198
_space_group_name_Hall 'P 2ac 2ab 3'
loop_
_atom_site_label
_atom_site_fract_x
_atom_site_fract_y
_atom_site_fract_z
Ni1 0.0069 0.4931 0.5069
As1 0.1208 0.8792 0.3792
S1 0.1159 0.6159 0.8841
```

The 10 most intense peaks (2θ from 15° to 90°), by angle:
- 22.1°, I = 16, hkl 1 1 0
- 31.4°, I = 52, hkl 2 0 0
- 35.2°, I = 100, hkl 2 1 0
- 38.7°, I = 66, hkl 2 1 1
- 45.0°, I = 30, hkl 2 2 0
- 53.3°, I = 87, hkl 3 1 1
- 58.4°, I = 25, hkl 3 0 2
- 60.9°, I = 34, hkl 3 2 1
- 76.7°, I = 18, hkl 4 2 1
- 89.4°, I = 29, hkl 5 1 1

Entry 3:
For MgCd2Cu4O6, a cell relaxed with PBE gives the theoretical powder XRD pattern in this record (Cu Ka).

Cell and atoms:
```
data_MgCd2Cu4O6
_cell_length_a 4.3463
_cell_length_b 9.9499
_cell_length_c 3.8408
_cell_angle_alpha 90.00
_cell_angle_beta 90.00
_cell_angle_gamma 90.00
_space_group_name_H-M_alt 'P m m 2'
_space_group_IT_number 25
loop_
_space_group_symop_operation_xyz
'x,y,z'
'-x,-y,z'
'-x,y,z'
'x,-y,z'
loop_
_atom_site_label
_atom_site_fract_x
_atom_site_fract_y
_atom_site_fract_z
Mg1 0.0000 0.0000 0.0000
Cd1 0.0000 0.5000 0.3651
Cd2 0.5000 0.0000 0.4767
Cu1 0.0000 0.2510 0.5943
Cu2 0.5000 0.3108 0.0628
O1 0.0000 0.0000 0.5012
O2 0.0000 0.2920 0.0924
O3 0.5000 0.1289 0.9714
O4 0.5000 0.5000 0.1927
```

The 10 most intense peaks (2θ from 15° to 90°), by angle:
- 22.3°, I = 33, hkl 1 1 0
- 29.4°, I = 38, hkl 0 2 1
- 31.1°, I = 29, hkl 1 0 1
- 32.4°, I = 61, hkl 1 1 1
- 34.0°, I = 30, hkl 1 3 0
- 36.1°, I = 100, hkl 0 4 0
- 41.6°, I = 74, hkl 2 0 0
- 43.3°, I = 23, hkl 0 4 1
- 51.7°, I = 23, hkl 0 5 1
- 56.2°, I = 43, hkl 2 4 0

Entry 4:
For MgMo3WSe2S6, a cell relaxed with PBE gives the theoretical powder XRD pattern in this record (Cu Ka).

Cell and atoms:
```
data_MgMo3WSe2S6
_cell_length_a 3.2192
_cell_length_b 3.2192
_cell_length_c 44.8784
_cell_angle_alpha 90.00
_cell_angle_beta 90.00
_cell_angle_gamma 120.00
_space_group_name_H-M_alt 'P 3 m 1'
_space_group_IT_number 156
loop_
_space_group_symop_operation_xyz
'x,y,z'
'-y,x-y,z'
'-x+y,-x,z'
'-y,-x,z'
'-x+y,y,z'
'x,x-y,z'
loop_
_atom_site_label
_atom_site_fract_x
_atom_site_fract_y
_atom_site_fract_z
Mg1 0.0000 0.0000 0.0000
Mo1 0.3333 0.6667 0.5304
Mo2 0.6667 0.3333 0.1028
Mo3 0.6667 0.3333 0.7188
W1 0.3333 0.6667 0.8974
Se1 0.3333 0.6667 0.0641
Se2 0.3333 0.6667 0.1409
S1 0.3333 0.6667 0.6841
S2 0.3333 0.6667 0.7535
S3 0.6667 0.3333 0.4957
S4 0.6667 0.3333 0.5650
S5 0.6667 0.3333 0.8627
S6 0.6667 0.3333 0.9324
```

The 10 most intense peaks (2θ from 15° to 90°), by angle:
- 32.1°, I = 62, hkl 1 0 0
- 32.7°, I = 24, hkl 1 0 3
- 33.7°, I = 50, hkl 0 1 5
- 34.3°, I = 26, hkl 0 1 6
- 36.0°, I = 89, hkl 1 0 8
- 39.1°, I = 40, hkl 0 1 11
- 41.6°, I = 100, hkl 1 0 13
- 45.9°, I = 23, hkl 0 1 16
- 57.2°, I = 46, hkl 1 1 0
- 58.2°, I = 29, hkl 1 1 5

Entry 5:
For TbIn2Ni, a cell relaxed with PBE gives the theoretical powder XRD pattern in this record (Cu Ka).

Cell and atoms:
```
data_TbIn2Ni
_cell_length_a 4.3417
_cell_length_b 10.4552
_cell_length_c 7.4375
_cell_angle_alpha 90.00
_cell_angle_beta 90.00
_cell_angle_gamma 90.00
_space_group_name_H-M_alt 'C m c m'
_space_group_IT_number 63
_space_group_name_Hall '-C 2c 2'
loop_
_atom_site_label
_atom_site_fract_x
_atom_site_fract_y
_atom_site_fract_z
Tb1 0.0000 0.0707 0.2500
In1 0.0000 0.3594 0.0520
Ni1 0.0000 0.2163 0.7500
```

The 10 most intense peaks (2θ from 15° to 90°), by angle:
- 32.8°, I = 100, hkl 1 1 2
- 33.0°, I = 28, hkl 1 3 0
- 35.2°, I = 65, hkl 1 3 1
- 36.4°, I = 27, hkl 0 4 1
- 40.3°, I = 31, hkl 0 2 3
- 41.1°, I = 19, hkl 1 3 2
- 41.6°, I = 36, hkl 2 0 0
- 59.3°, I = 20, hkl 2 2 3
- 61.9°, I = 16, hkl 1 5 3
- 66.2°, I = 24, hkl 1 7 0

- What is the formula in the first record?
  ReC6N9